Entry 1:
For CsIn3Hg9, a cell relaxed with GGA-PBE gives the simulated XRD peak list in this record (Cu Kα).
No peak broadening, texture or thermal motion is included.

Main lines, sorted by position (2θ = 5–70°):
2.951 Å, intensity 64, hkl 1 5 0; 2.836 Å, intensity 51, hkl 1 1 2; 2.780 Å, intensity 100, hkl 0 4 2; 2.621 Å, intensity 77, hkl 2 0 1; 2.575 Å, intensity 43, hkl 2 2 -2; 2.502 Å, intensity 69, hkl 2 4 -1

Crystal structure
Cell lengths 6.3196, 16.8318, 7.6322 Å; angles 90.00, 103.98, 90.00 degrees
Space group C2/m (No. 12)
Inequivalent atoms, fractional coordinates:
Cs 0.0000 0.0000 0.0000 x2
In 0.0000 0.5000 0.5000 x2
In 0.2500 0.2500 0.0000 x4
Hg 0.0000 0.0000 0.5000 x2
Hg 0.1003 0.3833 0.2285 x8
Hg 0.1598 0.1767 0.3599 x8

=====

Entry 2:
For PrNd3C8, a cell relaxed with GGA-PBE gives the simulated XRD peak list in this record (Cu Kα).
No peak broadening, texture or thermal motion is included.

Main lines, sorted by position (2θ = 5–70°):
3.629 Å, intensity 58, hkl 2 0 0; 3.135 Å, intensity 100, hkl 1 1 2; 2.566 Å, intensity 36, hkl 2 2 0; 1.986 Å, intensity 61, hkl 3 1 2; 1.738 Å, intensity 20, hkl 2 0 4; 1.623 Å, intensity 14, hkl 4 2 0

Crystal structure
Cell lengths 7.2583, 7.2583, 7.9174 Å; angles 90.00, 90.00, 90.00 degrees
Space group I-42m (No. 121)
Inequivalent atoms, fractional coordinates:
Pr 0.0000 0.0000 0.0000 x2
Nd 0.0000 0.0000 0.5000 x2
Nd 0.0000 0.5000 0.2500 x4
C 0.1662 0.1662 0.7628 x8
C 0.2327 0.2327 0.3601 x8

=====

Entry 3:
For CeSm2Se4, a cell relaxed with GGA-PBE gives the simulated XRD peak list in this record (Cu Kα).
No peak broadening, texture or thermal motion is included.

Main lines, sorted by position (2θ = 5–70°):
3.870 Å, intensity 93, hkl 0 2 3; 2.990 Å, intensity 83, hkl 1 3 1; 2.805 Å, intensity 100, hkl 1 3 2; 2.285 Å, intensity 60, hkl 1 1 5; 2.061 Å, intensity 46, hkl 0 6 3; 2.053 Å, intensity 62, hkl 2 0 0

Crystal structure
Cell lengths 4.1037, 13.7764, 14.0349 Å; angles 90.00, 90.00, 90.00 degrees
Space group Cmcm (No. 63)
Inequivalent atoms, fractional coordinates:
Ce 0.0000 0.1219 0.2500 x4
Sm 0.0000 0.3688 0.0673 x8
Se 0.0000 0.0000 0.0000 x4
Se 0.0000 0.2747 0.6230 x8
Se 0.0000 0.4650 0.2500 x4

=====

Entry 4:
For SrCo2Ag2, a cell relaxed with GGA-PBE gives the simulated XRD peak list in this record (Cu Kα).
No peak broadening, texture or thermal motion is included.

Main lines, sorted by position (2θ = 5–70°):
2.738 Å, intensity 13, hkl 1 0 3; 2.649 Å, intensity 100, hkl 1 1 2; 2.161 Å, intensity 39, hkl 2 0 0; 2.003 Å, intensity 21, hkl 1 1 4; 1.905 Å, intensity 12, hkl 1 0 5; 1.528 Å, intensity 12, hkl 2 2 0

Crystal structure
Cell lengths 4.3227, 4.3227, 10.6128 Å; angles 90.00, 90.00, 90.00 degrees
Space group I4/mmm (No. 139)
Inequivalent atoms, fractional coordinates:
Sr 0.0000 0.0000 0.0000 x2
Co 0.0000 0.0000 0.3994 x4
Ag 0.0000 0.5000 0.2500 x4

=====

Entry 5:
For Pr2Sm3Y3, a cell relaxed with GGA-PBE gives the simulated XRD peak list in this record (Cu Kα).
No peak broadening, texture or thermal motion is included.

Main lines, sorted by position (2θ = 5–70°):
2.963 Å, intensity 100, hkl 1 1 4; 2.571 Å, intensity 34, hkl 2 0 0; 2.557 Å, intensity 17, hkl 0 0 8; 1.813 Å, intensity 24, hkl 2 0 8; 1.550 Å, intensity 28, hkl 3 1 4; 1.543 Å, intensity 14, hkl 1 1 12

Crystal structure
Cell lengths 5.1413, 5.1424, 20.4553 Å; angles 90.00, 90.00, 90.00 degrees
Space group Immm (No. 71)
Inequivalent atoms, fractional coordinates:
Pr 0.0000 0.0000 0.2501 x4
Sm 0.0000 0.0000 0.0000 x2
Sm 0.0000 0.5000 0.1231 x4
Y 0.0000 0.0000 0.5000 x2
Y 0.0000 0.5000 0.3764 x4

=====

Entry 6:
For K3DyTa2O9, a cell relaxed with GGA-PBE gives the simulated XRD peak list in this record (Cu Kα).
No peak broadening, texture or thermal motion is included.

Main lines, sorted by position (2θ = 5–70°):
4.192 Å, intensity 100, hkl 1 0 1; 2.969 Å, intensity 75, hkl 0 1 2; 2.959 Å, intensity 73, hkl 1 1 0; 2.096 Å, intensity 47, hkl 2 0 2; 1.877 Å, intensity 23, hkl 1 1 3; 1.710 Å, intensity 44, hkl 3 0 0

Crystal structure
Cell lengths 5.9182, 5.9182, 7.2847 Å; angles 90.00, 90.00, 120.00 degrees
Space group P-3m1 (No. 164)
Inequivalent atoms, fractional coordinates:
K 0.0000 0.0000 0.0000 x1
K 0.3333 0.6667 0.6683 x2
Dy 0.0000 0.0000 0.5000 x1
Ta 0.3333 0.6667 0.1651 x2
O 0.0000 0.5000 0.0000 x3
O 0.1764 0.3527 0.3144 x6